(1)
Simulated PXRD pattern of NaSn2AsSe6 for a wavelength of 1.5418 Å, from a crystal structure in Alexandria, relaxed with GGA-PBE.
Lines closer than 0.1° are merged.

Structure:
```
data_NaSn2AsSe6
_space_group_name_H-M_alt 'P 1'
_space_group_IT_number 1
_cell_length_a 9.4225
_cell_length_b 9.4225
_cell_length_c 7.6970
_cell_angle_alpha 107.82
_cell_angle_beta 107.82
_cell_angle_gamma 76.76
loop_
_space_group_symop_operation_xyz
'x,y,z'
loop_
_atom_site_label
_atom_site_type_symbol
_atom_site_fract_x
_atom_site_fract_y
_atom_site_fract_z
Na1 Na 0.2444 0.7556 0.7500
Na2 Na 0.7556 0.2444 0.2500
Sn1 Sn 0.1346 0.3392 0.1346
Sn2 Sn 0.3392 0.1346 0.6346
Sn3 Sn 0.6608 0.8654 0.3654
Sn4 Sn 0.8654 0.6608 0.8654
As1 As 0.2762 0.7238 0.2500
As2 As 0.7238 0.2762 0.7500
Se1 Se 0.1073 0.1932 0.3705
Se2 Se 0.1491 0.5466 0.9049
Se3 Se 0.1932 0.1073 0.8705
Se4 Se 0.3160 0.5141 0.3930
Se5 Se 0.4534 0.8509 0.5951
Se6 Se 0.4859 0.6840 0.1070
Se7 Se 0.5141 0.3160 0.8930
Se8 Se 0.5466 0.1491 0.4049
Se9 Se 0.6840 0.4859 0.6070
Se10 Se 0.8068 0.8927 0.1295
Se11 Se 0.8509 0.4534 0.0951
Se12 Se 0.8927 0.8068 0.6295
```

Principal peaks in the range 10° ≤ 2θ ≤ 90°, in order of rising 2θ:
- 13.0 deg, intensity 355
- 13.9 deg, intensity 650
- 19.7 deg, intensity 1000
- 23.7 deg, intensity 310
- 26.3 deg, intensity 643
- 28.2 deg, intensity 496
- 29.6 deg, intensity 327
- 33.7 deg, intensity 347
- 33.8 deg, intensity 327
- 36.2 deg, intensity 435
- 38.6 deg, intensity 345
- 46.5 deg, intensity 446

(2)
Simulated PXRD pattern of Dy3Er5Mg for a wavelength of 1.5418 Å, from a crystal structure in Alexandria, relaxed with GGA-PBE.
Lines closer than 0.1° are merged.

Structure:
```
data_Dy3Er5Mg
_space_group_name_H-M_alt 'P 1'
_space_group_IT_number 1
_cell_length_a 9.3472
_cell_length_b 9.3472
_cell_length_c 9.6573
_cell_angle_alpha 120.15
_cell_angle_beta 120.15
_cell_angle_gamma 74.80
loop_
_space_group_symop_operation_xyz
'x,y,z'
loop_
_atom_site_label
_atom_site_type_symbol
_atom_site_fract_x
_atom_site_fract_y
_atom_site_fract_z
Dy1 Dy 0.0000 0.0000 0.0000
Dy2 Dy 0.0130 0.0130 0.3237
Dy3 Dy 0.4809 0.4809 0.1418
Dy4 Dy 0.5000 0.5000 0.5000
Dy5 Dy 0.5191 0.5191 0.8582
Dy6 Dy 0.9870 0.9870 0.6763
Er1 Er 0.0918 0.5985 0.7477
Er2 Er 0.2261 0.2261 0.7452
Er3 Er 0.2408 0.7592 0.5000
Er4 Er 0.2808 0.2808 0.4703
Er5 Er 0.4015 0.9082 0.2523
Er6 Er 0.5985 0.0918 0.7477
Er7 Er 0.7192 0.7192 0.5297
Er8 Er 0.7592 0.2408 0.5000
Er9 Er 0.7739 0.7739 0.2548
Er10 Er 0.9082 0.4015 0.2523
Mg1 Mg 0.2482 0.2482 0.1075
Mg2 Mg 0.7518 0.7518 0.8925
```

Principal peaks in the range 10° ≤ 2θ ≤ 90°, in order of rising 2θ:
- 11.8 deg, intensity 463
- 12.1 deg, intensity 364
- 15.6 deg, intensity 365
- 29.0 deg, intensity 440
- 29.4 deg, intensity 661
- 31.5 deg, intensity 1000
- 32.5 deg, intensity 590
- 32.8 deg, intensity 387
- 33.2 deg, intensity 626
- 35.0 deg, intensity 568
- 39.7 deg, intensity 401
- 40.2 deg, intensity 407

(3)
Simulated PXRD pattern of Dy2Ga4Ni3Ru for a wavelength of 1.5418 Å, from a crystal structure in Alexandria, relaxed with GGA-PBE.
Lines closer than 0.1° are merged.

Structure:
```
data_Dy2Ga4Ni3Ru
_space_group_name_H-M_alt 'P 1'
_space_group_IT_number 1
_cell_length_a 4.1434
_cell_length_b 4.1434
_cell_length_c 9.7799
_cell_angle_alpha 90.00
_cell_angle_beta 90.00
_cell_angle_gamma 90.00
loop_
_space_group_symop_operation_xyz
'x,y,z'
loop_
_atom_site_label
_atom_site_type_symbol
_atom_site_fract_x
_atom_site_fract_y
_atom_site_fract_z
Dy1 Dy 0.0000 0.5000 0.2431
Dy2 Dy 0.5000 0.0000 0.7569
Ga1 Ga 0.0000 0.0000 0.5000
Ga2 Ga 0.0000 0.5000 0.8668
Ga3 Ga 0.5000 0.0000 0.1332
Ga4 Ga 0.5000 0.5000 0.5000
Ni1 Ni 0.0000 0.0000 0.0000
Ni2 Ni 0.0000 0.5000 0.6270
Ni3 Ni 0.5000 0.0000 0.3730
Ru1 Ru 0.5000 0.5000 0.0000
```

Principal peaks in the range 10° ≤ 2θ ≤ 90°, in order of rising 2θ:
- 23.3 deg, intensity 103
- 30.5 deg, intensity 142
- 35.0 deg, intensity 605
- 35.7 deg, intensity 1000
- 43.7 deg, intensity 553
- 51.7 deg, intensity 235
- 57.2 deg, intensity 290
- 58.4 deg, intensity 73
- 63.5 deg, intensity 176
- 65.5 deg, intensity 127
- 69.9 deg, intensity 186
- 75.1 deg, intensity 222

(4)
Simulated PXRD pattern of Cs2N3 for a wavelength of 1.5418 Å, from a crystal structure in Alexandria, relaxed with GGA-PBE.
Lines closer than 0.1° are merged.

Structure:
```
data_Cs2N3
_space_group_name_H-M_alt 'P 1'
_space_group_IT_number 1
_cell_length_a 8.9286
_cell_length_b 8.9286
_cell_length_c 8.9286
_cell_angle_alpha 109.47
_cell_angle_beta 109.47
_cell_angle_gamma 109.47
loop_
_space_group_symop_operation_xyz
'x,y,z'
loop_
_atom_site_label
_atom_site_type_symbol
_atom_site_fract_x
_atom_site_fract_y
_atom_site_fract_z
Cs1 Cs 0.0000 0.1152 0.5000
Cs2 Cs 0.0000 0.6152 0.5000
Cs3 Cs 0.1152 0.5000 0.0000
Cs4 Cs 0.3848 0.3848 0.3848
Cs5 Cs 0.5000 0.0000 0.1152
Cs6 Cs 0.5000 0.0000 0.6152
Cs7 Cs 0.6152 0.5000 0.0000
Cs8 Cs 0.8848 0.8848 0.8848
N1 N 0.0666 0.8166 0.2500
N2 N 0.1834 0.9334 0.2500
N3 N 0.2500 0.0666 0.8166
N4 N 0.2500 0.1834 0.9334
N5 N 0.3166 0.5666 0.7500
N6 N 0.4334 0.6834 0.7500
N7 N 0.5666 0.7500 0.3166
N8 N 0.6834 0.7500 0.4334
N9 N 0.7500 0.3166 0.5666
N10 N 0.7500 0.4334 0.6834
N11 N 0.8166 0.2500 0.0666
N12 N 0.9334 0.2500 0.1834
```

Principal peaks in the range 10° ≤ 2θ ≤ 90°, in order of rising 2θ:
- 21.1 deg, intensity 370
- 24.4 deg, intensity 555
- 27.4 deg, intensity 1000
- 32.5 deg, intensity 576
- 41.1 deg, intensity 187
- 43.0 deg, intensity 185
- 44.8 deg, intensity 614
- 48.4 deg, intensity 175
- 54.9 deg, intensity 147
- 58.0 deg, intensity 191
- 66.7 deg, intensity 166
- 80.1 deg, intensity 175

(5)
Simulated PXRD pattern of Tb4Ho4Tm5 for a wavelength of 1.5418 Å, from a crystal structure in Alexandria, relaxed with GGA-PBE.
Lines closer than 0.1° are merged.

Structure:
```
data_Tb4Ho4Tm5
_space_group_name_H-M_alt 'P 1'
_space_group_IT_number 1
_cell_length_a 9.2967
_cell_length_b 9.2967
_cell_length_c 9.2967
_cell_angle_alpha 94.09
_cell_angle_beta 94.09
_cell_angle_gamma 149.02
loop_
_space_group_symop_operation_xyz
'x,y,z'
loop_
_atom_site_label
_atom_site_type_symbol
_atom_site_fract_x
_atom_site_fract_y
_atom_site_fract_z
Tb1 Tb 0.0775 0.3838 0.4614
Tb2 Tb 0.3838 0.9224 0.3063
Tb3 Tb 0.6162 0.0775 0.6937
Tb4 Tb 0.9224 0.6162 0.5386
Ho1 Ho 0.1534 0.7701 0.9235
Ho2 Ho 0.2299 0.1534 0.3833
Ho3 Ho 0.7701 0.8466 0.6167
Ho4 Ho 0.8466 0.2299 0.0765
Tm1 Tm 0.0000 0.0000 0.0000
Tm2 Tm 0.3090 0.5386 0.8475
Tm3 Tm 0.4614 0.3090 0.7704
Tm4 Tm 0.5386 0.6910 0.2296
Tm5 Tm 0.6910 0.4614 0.1525
```

Principal peaks in the range 10° ≤ 2θ ≤ 90°, in order of rising 2θ:
- 31.2 deg, intensity 1000
- 36.2 deg, intensity 506
- 52.1 deg, intensity 359
- 61.9 deg, intensity 426
- 65.0 deg, intensity 123
- 76.7 deg, intensity 57
- 85.1 deg, intensity 179
- 87.9 deg, intensity 168

(6)
Simulated PXRD pattern of Al2Ag5 for a wavelength of 1.5418 Å, from a crystal structure in Alexandria, relaxed with GGA-PBE.
Lines closer than 0.1° are merged.

Structure:
```
data_Al2Ag5
_space_group_name_H-M_alt 'P 1'
_space_group_IT_number 1
_cell_length_a 4.2041
_cell_length_b 4.8739
_cell_length_c 6.6124
_cell_angle_alpha 100.62
_cell_angle_beta 90.04
_cell_angle_gamma 115.24
loop_
_space_group_symop_operation_xyz
'x,y,z'
loop_
_atom_site_label
_atom_site_type_symbol
_atom_site_fract_x
_atom_site_fract_y
_atom_site_fract_z
Al1 Al 0.2176 0.4333 0.1541
Al2 Al 0.7824 0.5667 0.8459
Ag1 Ag 0.0738 0.1501 0.7324
Ag2 Ag 0.3551 0.7112 0.5682
Ag3 Ag 0.5000 0.0000 0.0000
Ag4 Ag 0.6449 0.2888 0.4318
Ag5 Ag 0.9262 0.8499 0.2676
```

Principal peaks in the range 10° ≤ 2θ ≤ 90°, in order of rising 2θ:
- 20.6 deg, intensity 85
- 26.2 deg, intensity 87
- 27.1 deg, intensity 82
- 34.8 deg, intensity 90
- 38.0 deg, intensity 356
- 38.2 deg, intensity 1000
- 42.9 deg, intensity 234
- 43.0 deg, intensity 239
- 47.0 deg, intensity 179
- 65.4 deg, intensity 128
- 75.4 deg, intensity 158
- 75.7 deg, intensity 83

(7)
Simulated PXRD pattern of Pm6Dy4Er for a wavelength of 1.5418 Å, from a crystal structure in Alexandria, relaxed with GGA-PBE.
Lines closer than 0.1° are merged.

Structure:
```
data_Pm6Dy4Er
_space_group_name_H-M_alt 'P 1'
_space_group_IT_number 1
_cell_length_a 9.7414
_cell_length_b 9.7414
_cell_length_c 9.7414
_cell_angle_alpha 139.99
_cell_angle_beta 139.99
_cell_angle_gamma 57.87
loop_
_space_group_symop_operation_xyz
'x,y,z'
loop_
_atom_site_label
_atom_site_type_symbol
_atom_site_fract_x
_atom_site_fract_y
_atom_site_fract_z
Pm1 Pm 0.0000 0.5000 0.5000
Pm2 Pm 0.0131 0.6349 0.0000
Pm3 Pm 0.3651 0.3651 0.3782
Pm4 Pm 0.5000 0.0000 0.5000
Pm5 Pm 0.6349 0.0131 0.0000
Pm6 Pm 0.9869 0.9869 0.6218
Dy1 Dy 0.1954 0.1954 0.6424
Dy2 Dy 0.4470 0.8046 0.0000
Dy3 Dy 0.5530 0.5530 0.3576
Dy4 Dy 0.8046 0.4470 0.0000
Er1 Er 0.0000 0.0000 0.0000
```

Principal peaks in the range 10° ≤ 2θ ≤ 90°, in order of rising 2θ:
- 28.2 deg, intensity 380
- 28.8 deg, intensity 621
- 29.4 deg, intensity 304
- 30.4 deg, intensity 1000
- 31.5 deg, intensity 254
- 34.2 deg, intensity 740
- 36.9 deg, intensity 302
- 38.2 deg, intensity 293
- 40.2 deg, intensity 342
- 50.3 deg, intensity 208
- 56.6 deg, intensity 200
- 57.2 deg, intensity 293

(8)
Simulated PXRD pattern of Th3MgCo8 for a wavelength of 1.5418 Å, from a crystal structure in Alexandria, relaxed with GGA-PBE.
Lines closer than 0.1° are merged.

Structure:
```
data_Th3MgCo8
_space_group_name_H-M_alt 'P 1'
_space_group_IT_number 1
_cell_length_a 8.8560
_cell_length_b 8.8560
_cell_length_c 8.8560
_cell_angle_alpha 33.12
_cell_angle_beta 33.12
_cell_angle_gamma 33.12
loop_
_space_group_symop_operation_xyz
'x,y,z'
loop_
_atom_site_label
_atom_site_type_symbol
_atom_site_fract_x
_atom_site_fract_y
_atom_site_fract_z
Th1 Th 0.0000 0.0000 0.0000
Th2 Th 0.1282 0.1282 0.1282
Th3 Th 0.6166 0.6166 0.6166
Mg1 Mg 0.4958 0.4958 0.4958
Co1 Co 0.0584 0.0584 0.5594
Co2 Co 0.0584 0.5594 0.0584
Co3 Co 0.0659 0.5614 0.5614
Co4 Co 0.3102 0.3102 0.3102
Co5 Co 0.5594 0.0584 0.0584
Co6 Co 0.5614 0.0659 0.5614
Co7 Co 0.5614 0.5614 0.0659
Co8 Co 0.8118 0.8118 0.8118
```

Principal peaks in the range 10° ≤ 2θ ≤ 90°, in order of rising 2θ:
- 21.5 deg, intensity 393
- 27.1 deg, intensity 207
- 35.2 deg, intensity 694
- 35.6 deg, intensity 719
- 41.5 deg, intensity 590
- 41.8 deg, intensity 1000
- 42.0 deg, intensity 541
- 43.9 deg, intensity 246
- 63.7 deg, intensity 259
- 67.9 deg, intensity 255
- 68.2 deg, intensity 231
- 75.3 deg, intensity 229

(9)
Simulated PXRD pattern of TbPm4Pr5 for a wavelength of 1.5418 Å, from a crystal structure in Alexandria, relaxed with GGA-PBE.
Lines closer than 0.1° are merged.

Structure:
```
data_TbPm4Pr5
_space_group_name_H-M_alt 'P 1'
_space_group_IT_number 1
_cell_length_a 3.6724
_cell_length_b 9.7094
_cell_length_c 10.4090
_cell_angle_alpha 74.41
_cell_angle_beta 89.90
_cell_angle_gamma 79.14
loop_
_space_group_symop_operation_xyz
'x,y,z'
loop_
_atom_site_label
_atom_site_type_symbol
_atom_site_fract_x
_atom_site_fract_y
_atom_site_fract_z
Tb1 Tb 0.0000 0.0000 0.0000
Pm1 Pm 0.1994 0.6009 0.1000
Pm2 Pm 0.4000 0.1994 0.7039
Pm3 Pm 0.6000 0.8006 0.2961
Pm4 Pm 0.8006 0.3991 0.9000
Pr1 Pr 0.0000 0.0000 0.5000
Pr2 Pr 0.2002 0.6000 0.5999
Pr3 Pr 0.4007 0.1986 0.1966
Pr4 Pr 0.5993 0.8014 0.8034
Pr5 Pr 0.7998 0.4000 0.4001
```

Principal peaks in the range 10° ≤ 2θ ≤ 90°, in order of rising 2θ:
- 29.8 deg, intensity 1000
- 34.5 deg, intensity 339
- 34.6 deg, intensity 168
- 49.6 deg, intensity 243
- 49.7 deg, intensity 121
- 58.9 deg, intensity 180
- 59.0 deg, intensity 252
- 61.8 deg, intensity 62
- 61.9 deg, intensity 62
- 80.5 deg, intensity 59
- 80.6 deg, intensity 88
- 83.1 deg, intensity 68